Record 1
Computed powder diffraction line list of Sc7Co for Cu Ka, from a crystal structure in Alexandria, relaxed with GGA-PBE.
No peak broadening, texture or thermal motion is included.

The 10 most intense peaks (2θ = 15–90°), sorted by position:
17.25°, rel. 1
19.94°, rel. 1
28.35°, rel. 1
33.37°, rel. 1
34.90°, rel. 100
40.52°, rel. 48
58.64°, rel. 29
70.09°, rel. 32
73.71°, rel. 9
87.66°, rel. 4

Atomic structure:
a b c (Å): 6.2970 6.2970 6.2970
angles (deg): 60.00 60.00 60.00
Fractional coordinates of all 8 atoms:
Sc (0.0000, 0.0000, 0.0000)
Sc (0.0000, 0.0000, 0.5000)
Sc (0.0000, 0.5000, 0.0000)
Sc (0.0000, 0.5000, 0.5000)
Sc (0.5000, 0.0000, 0.0000)
Sc (0.5000, 0.0000, 0.5000)
Sc (0.5000, 0.5000, 0.0000)
Co (0.5000, 0.5000, 0.5000)



Record 2
Computed powder diffraction line list of Sc2Co for Cu Ka, from a crystal structure in Alexandria, relaxed with GGA-PBE.
No peak broadening, texture or thermal motion is included.

The 12 most intense peaks (2θ = 15–90°), sorted by position:
19.95°, rel. 58
35.65°, rel. 78
35.73°, rel. 26
37.81°, rel. 52
37.89°, rel. 17
40.55°, rel. 41
43.13°, rel. 100
45.58°, rel. 62
59.16°, rel. 15
63.09°, rel. 19
66.43°, rel. 15
71.91°, rel. 23

Atomic structure:
a b c (Å): 5.2687 5.2687 5.2543
angles (deg): 106.54 106.54 115.43
Fractional coordinates of all 6 atoms:
Sc (0.1774, 0.8226, 0.0000)
Sc (0.3220, 0.3220, 0.6449)
Sc (0.6780, 0.6780, 0.3551)
Sc (0.8226, 0.1774, 0.0000)
Co (0.2500, 0.7500, 0.5000)
Co (0.7500, 0.2500, 0.5000)



Record 3
Computed powder diffraction line list of Sc4Co for Cu Ka, from a crystal structure in Alexandria, relaxed with GGA-PBE.
No peak broadening, texture or thermal motion is included.

The 12 most intense peaks (2θ = 15–90°), sorted by position:
16.55°, rel. 48
23.10°, rel. 44
32.90°, rel. 18
33.46°, rel. 100
37.05°, rel. 73
38.04°, rel. 57
44.12°, rel. 42
44.44°, rel. 32
47.22°, rel. 28
56.39°, rel. 19
61.49°, rel. 23
68.57°, rel. 16

Atomic structure:
a b c (Å): 6.5984 6.5984 6.5984
angles (deg): 108.62 108.62 111.19
Fractional coordinates of all 10 atoms:
Sc (0.0322, 0.8278, 0.1937)
Sc (0.1159, 0.4222, 0.7044)
Sc (0.1616, 0.9678, 0.7956)
Sc (0.1722, 0.3659, 0.2044)
Sc (0.5778, 0.2822, 0.6937)
Sc (0.5884, 0.8841, 0.3063)
Sc (0.6341, 0.8384, 0.8063)
Sc (0.7178, 0.4116, 0.2956)
Co (0.2500, 0.7500, 0.5000)
Co (0.5000, 0.5000, 0.0000)